(1)
Diffraction record for LiMnP2O7. The PXRD pattern is simulated, not measured: it uses the GGA+U geometry in the Materials Project and CuKα.

Atomic structure:
Lattice parameters (Å, degrees): 6.899 8.297 9.293 90.00 110.22 90.00
Space group P2_1/c (No. 14)
Unique sites:
Li  0.206  0.068  0.082 x4
Mn  0.299  0.067  0.677 x4
P  0.062  0.736  0.741 x4
P  0.459  0.724  0.028 x4
O  0.043  0.612  0.620 x4
O  0.112  0.593  0.200 x4
O  0.130  0.242  0.707 x4
O  0.243  0.685  0.899 x4
O  0.375  0.225  0.550 x4
O  0.462  0.615  0.606 x4
O  0.486  0.582  0.141 x4

Peak list (10 most intense, 2θ from 15° to 90°, sorted by position)
- (0 0 2), 2θ = 20.37°, I = 18
- (0 2 0), 2θ = 21.42°, I = 20
- (1 1 1), 2θ = 22.45°, I = 66
- (0 2 1), 2θ = 23.75°, I = 30
- (1 0 2), 2θ = 28.36°, I = 88
- (1 2 -2), 2θ = 29.64°, I = 100
- (2 1 -2), 2θ = 30.12°, I = 69
- (0 1 3), 2θ = 32.64°, I = 20
- (2 3 -2), 2θ = 43.36°, I = 27
- (3 3 -4), 2θ = 59.07°, I = 22

---

(2)
Diffraction record for LiMnPO4. The PXRD pattern is simulated, not measured: it uses the GGA+U geometry in the Materials Project and CuKα.

Atomic structure:
Lattice parameters (Å, degrees): 7.601 17.093 4.911 90.00 90.00 90.00
Space group Pna2_1 (No. 33)
Unique sites:
Li  0.012  0.053  0.000 x4
Li  0.182  0.643  0.545 x4
Mn  0.041  0.747  0.115 x4
Mn  0.159  0.448  0.546 x4
P  0.215  0.326  0.995 x4
P  0.240  0.075  0.510 x4
O  0.043  0.356  0.852 x4
O  0.070  0.045  0.375 x4
O  0.098  0.532  0.872 x4
O  0.128  0.867  0.353 x4
O  0.206  0.337  0.308 x4
O  0.227  0.239  0.907 x4
O  0.238  0.664  0.945 x4
O  0.239  0.055  0.819 x4

Peak list (10 most intense, 2θ from 15° to 90°, sorted by position)
- (0 1 1), 2θ = 18.80°, I = 69
- (2 0 0), 2θ = 23.41°, I = 24
- (0 3 1), 2θ = 23.91°, I = 47
- (1 3 1), 2θ = 26.68°, I = 49
- (2 3 0), 2θ = 28.23°, I = 24
- (2 1 1), 2θ = 30.17°, I = 41
- (2 2 1), 2θ = 31.54°, I = 71
- (0 5 1), 2θ = 31.90°, I = 100
- (2 3 1), 2θ = 33.72°, I = 87
- (2 8 0), 2θ = 48.93°, I = 29

---

(3)
Diffraction record for LiMnPO4. The PXRD pattern is simulated, not measured: it uses the GGA+U geometry in the Materials Project and CuKα.

Atomic structure:
Lattice parameters (Å, degrees): 7.926 17.354 4.902 90.00 90.00 90.00
Space group Pna2_1 (No. 33)
Unique sites:
Li  0.018  0.056  0.000 x4
Li  0.170  0.644  0.528 x4
Mn  0.076  0.243  0.568 x4
Mn  0.151  0.448  0.563 x4
P  0.214  0.325  0.000 x4
P  0.240  0.069  0.504 x4
O  0.052  0.353  0.842 x4
O  0.089  0.032  0.362 x4
O  0.094  0.534  0.876 x4
O  0.133  0.867  0.383 x4
O  0.189  0.335  0.315 x4
O  0.223  0.238  0.930 x4
O  0.240  0.157  0.433 x4
O  0.241  0.053  0.817 x4

Peak list (10 most intense, 2θ from 15° to 90°, sorted by position)
- (0 1 1), 2θ = 18.81°, I = 43
- (2 0 0), 2θ = 22.43°, I = 35
- (2 1 0), 2θ = 23.02°, I = 77
- (1 3 1), 2θ = 26.35°, I = 42
- (2 0 1), 2θ = 28.97°, I = 49
- (0 5 1), 2θ = 31.58°, I = 100
- (2 3 1), 2θ = 32.93°, I = 66
- (2 5 0), 2θ = 34.34°, I = 40
- (0 0 2), 2θ = 36.67°, I = 28
- (2 5 2), 2θ = 51.11°, I = 31

---

(4)
Diffraction record for LiMnPO4. The PXRD pattern is simulated, not measured: it uses the GGA+U geometry in the Materials Project and CuKα.

Atomic structure:
Lattice parameters (Å, degrees): 10.379 6.973 5.142 90.00 90.00 90.00
Space group Pna2_1 (No. 33)
Unique sites:
Li  0.151  0.004  0.000 x4
Mn  0.157  0.503  0.002 x4
P  0.097  0.753  0.495 x4
O  0.050  0.252  0.048 x4
O  0.125  0.760  0.197 x4
O  0.157  0.933  0.626 x4
O  0.162  0.567  0.605 x4

Peak list (10 most intense, 2θ from 15° to 90°, sorted by position)
- (1 1 0), 2θ = 15.31°, I = 54
- (2 1 0), 2θ = 21.34°, I = 94
- (0 1 1), 2θ = 21.47°, I = 100
- (1 1 1), 2θ = 23.14°, I = 99
- (3 1 0), 2θ = 28.81°, I = 40
- (2 2 0), 2θ = 30.90°, I = 45
- (4 0 0), 2θ = 34.57°, I = 49
- (0 0 2), 2θ = 34.90°, I = 58
- (2 2 1), 2θ = 35.60°, I = 75
- (2 2 3), 2θ = 63.03°, I = 31